The following is a calculated XRD peak list of Tb2PmPrSm. It was derived from DFT lattice parameters and positions (GGA-PBE), using CuKα.

Structure:
Cell lengths 7.238, 7.238, 7.199 Å; angles 90.00, 90.00, 108.05 degrees
Positions (direct):
Tb (0.188, 0.188, 0.000)
Tb (0.188, 0.188, 0.500)
Tb (0.812, 0.812, 0.000)
Tb (0.812, 0.812, 0.500)
Pm (0.227, 0.773, 0.750)
Pm (0.773, 0.227, 0.250)
Pr (0.230, 0.770, 0.250)
Pr (0.770, 0.230, 0.750)
Sm (0.500, 0.500, 0.250)
Sm (0.500, 0.500, 0.750)

Main lines, sorted by position (2θ from 5° to 70°):
25.89°, rel. 37; 27.97°, rel. 26; 29.12°, rel. 44; 30.53°, rel. 50; 32.57°, rel. 100; 35.52°, rel. 39; 39.28°, rel. 31; 45.26°, rel. 52



The following is a calculated XRD peak list of TbPmPa2Rh4. It was derived from DFT lattice parameters and positions (GGA-PBE), using CuKα.

Structure:
Cell lengths 6.927, 5.688, 6.695 Å; angles 67.46, 49.33, 63.21 degrees
Positions (direct):
Tb (0.000, 0.000, 0.000)
Pm (0.418, 0.418, 0.582)
Pa (0.155, 0.155, 0.345)
Pa (0.655, 0.655, 0.845)
Rh (0.131, 0.660, 0.340)
Rh (0.508, 0.900, 0.492)
Rh (0.660, 0.131, 0.869)
Rh (0.900, 0.508, 0.100)

Main lines, sorted by position (2θ from 5° to 70°):
28.45°, rel. 18; 31.61°, rel. 100; 32.58°, rel. 59; 35.68°, rel. 26; 46.03°, rel. 69; 46.14°, rel. 16; 47.59°, rel. 16; 58.87°, rel. 16